# 1
The following is a calculated X-ray powder pattern of Co6W20C7. It was derived from a DFT-relaxed cell (GGA-PBE, Alexandria), using a wavelength of 1.5418 Å.
Lines closer than 0.1° are merged.

Structure:
```
Co6W20C7
1.0
7.8847 0.0000 0.0000
-3.9423 6.8283 0.0000
0.0000 0.0000 7.8816
Co W C
6 20 7
Direct
0.1113 0.2225 0.0000
0.1113 0.8887 0.0000
0.2231 0.1115 0.5000
0.7775 0.8887 0.0000
0.8885 0.1115 0.5000
0.8885 0.7769 0.5000
0.0000 0.0000 0.2506
0.0000 0.0000 0.7494
0.1059 0.5529 0.0000
0.1993 0.3986 0.3207
0.1993 0.3986 0.6793
0.1993 0.8007 0.3207
0.1993 0.8007 0.6793
0.4087 0.2044 0.1787
0.4087 0.2044 0.8213
0.4471 0.5529 0.0000
0.4471 0.8941 0.0000
0.5485 0.0970 0.5000
0.5485 0.4515 0.5000
0.6014 0.8007 0.3207
0.6014 0.8007 0.6793
0.7956 0.2044 0.1787
0.7956 0.2044 0.8213
0.7956 0.5913 0.1787
0.7956 0.5913 0.8213
0.9030 0.4515 0.5000
0.0055 0.5027 0.2500
0.0055 0.5027 0.7500
0.4973 0.5027 0.2500
0.4973 0.5027 0.7500
0.4973 0.9945 0.2500
0.4973 0.9945 0.7500
0.6667 0.3333 0.0000
```

Main lines, sorted by position (10° ≤ 2θ ≤ 90°):
Position (°2θ), Rel. int.
34.76, 75
36.65, 80
39.60, 24
41.29, 91
41.84, 100
43.46, 53
46.05, 33
53.71, 21
69.91, 50
71.85, 30
73.01, 33
73.38, 24

---

# 2
The following is a calculated X-ray powder pattern of PmCd3C4O12. It was derived from a DFT-relaxed cell (GGA-PBE, Alexandria), using a wavelength of 1.5418 Å.
Lines closer than 0.1° are merged.

Structure:
```
PmCd3C4O12
1.0
5.0606 2.9218 2.9622
-5.0606 2.9218 2.9622
0.0000 -5.8435 2.9622
Pm Cd C O
1 3 4 12
Direct
0.0000 0.0000 0.0000
0.0000 0.5181 0.4819
0.4819 0.0000 0.5181
0.5181 0.4819 0.0000
0.0224 0.5000 0.9776
0.5000 0.5000 0.5000
0.5000 0.9776 0.0224
0.9776 0.0224 0.5000
0.0308 0.6387 0.8582
0.1047 0.8953 0.5000
0.1418 0.3613 0.9692
0.3613 0.9692 0.1418
0.3714 0.6286 0.5000
0.5000 0.1047 0.8953
0.5000 0.3714 0.6286
0.6286 0.5000 0.3714
0.6387 0.8582 0.0308
0.8582 0.0308 0.6387
0.8953 0.5000 0.1047
0.9692 0.1418 0.3613
```

Main lines, sorted by position (10° ≤ 2θ ≤ 90°):
Position (°2θ), Rel. int.
22.62, 71
28.61, 100
35.48, 33
42.49, 23
45.79, 26
46.20, 17
47.24, 35
56.51, 18
59.57, 15
63.70, 8
70.97, 8
74.19, 7

---

# 3
The following is a calculated X-ray powder pattern of LiSc2. It was derived from a DFT-relaxed cell (GGA-PBE, Alexandria), using a wavelength of 1.5418 Å.
Lines closer than 0.1° are merged.

Structure:
```
LiSc2
1.0
3.2059 0.0000 0.0000
-1.6029 2.7764 0.0000
0.0000 0.0000 7.9369
Li Sc
1 2
Direct
0.0000 0.0000 0.0000
0.3333 0.6667 0.3383
0.6667 0.3333 0.6617
```

Main lines, sorted by position (10° ≤ 2θ ≤ 90°):
Position (°2θ), Rel. int.
11.15, 92
22.40, 12
32.24, 18
33.88, 29
34.22, 100
39.62, 68
47.47, 11
57.05, 19
57.49, 17
68.03, 12
68.43, 19
68.63, 11

---

# 4
The following is a calculated X-ray powder pattern of Nd2TePb. It was derived from a DFT-relaxed cell (GGA-PBE, Alexandria), using a wavelength of 1.5418 Å.
Lines closer than 0.1° are merged.

Structure:
```
Nd2TePb
1.0
6.4182 0.0000 0.0000
0.0000 6.4180 0.0000
0.0000 0.0000 12.8785
Nd Te Pb
8 4 4
Direct
0.0000 0.2504 0.1243
0.0000 0.2496 0.6257
0.0000 0.7504 0.3743
0.0000 0.7496 0.8757
0.5000 0.2504 0.3757
0.5000 0.2496 0.8743
0.5000 0.7504 0.1257
0.5000 0.7496 0.6243
0.0000 0.2504 0.3750
0.0000 0.7496 0.6250
0.5000 0.2504 0.1250
0.5000 0.7496 0.8750
0.0000 0.2496 0.8750
0.0000 0.7504 0.1250
0.5000 0.2496 0.6250
0.5000 0.7504 0.3750
```

Main lines, sorted by position (10° ≤ 2θ ≤ 90°):
Position (°2θ), Rel. int.
15.43, 4
27.77, 100
39.68, 78
49.12, 28
57.23, 4
57.43, 9
64.79, 12
64.96, 24
71.91, 9
72.05, 18
85.43, 6
85.61, 3

---

# 5
The following is a calculated X-ray powder pattern of Ac6Ga3Ru. It was derived from a DFT-relaxed cell (GGA-PBE, Alexandria), using a wavelength of 1.5418 Å.
Lines closer than 0.1° are merged.

Structure:
```
Ac6Ga3Ru
1.0
6.9503 4.0128 4.4546
-6.9503 4.0128 4.4546
0.0000 -8.0256 4.4546
Ac Ga Ru
12 6 2
Direct
0.0299 0.9380 0.6855
0.0620 0.3145 0.9701
0.1919 0.5608 0.4278
0.3145 0.9701 0.0620
0.4278 0.1919 0.5608
0.4392 0.5722 0.8081
0.5608 0.4278 0.1919
0.5722 0.8081 0.4392
0.6855 0.0299 0.9380
0.8081 0.4392 0.5722
0.9380 0.6855 0.0299
0.9701 0.0620 0.3145
0.1211 0.2922 0.6333
0.2922 0.6333 0.1211
0.3667 0.8790 0.7078
0.6333 0.1210 0.2922
0.7078 0.3667 0.8790
0.8790 0.7078 0.3667
0.0000 0.0000 0.0000
0.5000 0.5000 0.5000
```

Main lines, sorted by position (10° ≤ 2θ ≤ 90°):
Position (°2θ), Rel. int.
19.85, 29
23.66, 100
27.71, 38
29.92, 89
33.27, 81
34.13, 64
35.16, 22
44.02, 21
47.15, 21
48.41, 24
48.55, 27
63.86, 22

---

# 6
The following is a calculated X-ray powder pattern of Cs3U2Se5. It was derived from a DFT-relaxed cell (GGA-PBE, Alexandria), using a wavelength of 1.5418 Å.
Lines closer than 0.1° are merged.

Structure:
```
Cs3U2Se5
1.0
13.5175 0.0000 0.0000
0.0000 13.5175 0.0000
0.0000 0.0000 3.8403
Cs U Se
6 4 10
Direct
0.0000 0.0000 0.0000
0.1835 0.3165 0.0000
0.3165 0.8165 0.0000
0.5000 0.5000 0.0000
0.6835 0.1835 0.0000
0.8165 0.6835 0.0000
0.1155 0.6155 0.0000
0.3845 0.1155 0.0000
0.6155 0.8845 0.0000
0.8845 0.3845 0.0000
0.0000 0.5000 0.5000
0.0700 0.7661 0.5000
0.2339 0.0700 0.5000
0.2661 0.5700 0.5000
0.4300 0.2661 0.5000
0.5000 0.0000 0.5000
0.5700 0.7339 0.5000
0.7339 0.4300 0.5000
0.7661 0.9300 0.5000
0.9300 0.2339 0.5000
```

Main lines, sorted by position (10° ≤ 2θ ≤ 90°):
Position (°2θ), Rel. int.
14.65, 54
20.78, 43
23.73, 26
27.20, 59
29.85, 27
31.31, 100
33.40, 96
35.38, 35
41.39, 21
47.30, 44
49.06, 24
76.71, 20

---

# 7
The following is a calculated X-ray powder pattern of K3In2Sb2. It was derived from a DFT-relaxed cell (GGA-PBE, Alexandria), using a wavelength of 1.5418 Å.
Lines closer than 0.1° are merged.

Structure:
```
K3In2Sb2
1.0
-2.3111 2.7591 10.7020
2.3111 -2.7591 10.7020
2.3111 2.7591 -10.7020
K In Sb
3 2 2
Direct
0.0000 0.0000 0.0000
0.1862 0.6862 0.5000
0.8138 0.3138 0.5000
0.4352 0.4352 0.0000
0.5648 0.5648 0.0000
0.3577 0.8577 0.5000
0.6423 0.1423 0.5000
```

Main lines, sorted by position (10° ≤ 2θ ≤ 90°):
Position (°2θ), Rel. int.
16.59, 100
22.93, 14
26.35, 25
26.50, 62
30.25, 28
32.45, 34
35.19, 43
35.72, 35
38.97, 20
42.62, 19
48.62, 33
51.59, 17

---

# 8
The following is a calculated X-ray powder pattern of DyTh7Sc2. It was derived from a DFT-relaxed cell (GGA-PBE, Alexandria), using a wavelength of 1.5418 Å.
Lines closer than 0.1° are merged.

Structure:
```
DyTh7Sc2
1.0
4.9727 0.0000 0.0000
0.0085 7.0279 0.0000
2.4834 1.7907 8.7868
Dy Th Sc
1 7 2
Direct
0.0000 0.0000 0.0000
0.0000 0.5000 0.0000
0.2014 0.1033 0.5975
0.3959 0.6945 0.2085
0.4001 0.1999 0.2008
0.5999 0.8001 0.7992
0.6041 0.3055 0.7915
0.7986 0.8967 0.4025
0.1983 0.5966 0.6026
0.8017 0.4034 0.3974
```

Main lines, sorted by position (10° ≤ 2θ ≤ 90°):
Position (°2θ), Rel. int.
31.16, 100
36.10, 34
36.22, 17
52.02, 30
52.12, 6
61.84, 22
61.95, 14
62.04, 7
64.99, 12
84.97, 6
85.08, 9
87.75, 7

---

# 9
The following is a calculated X-ray powder pattern of Mn2SiNi. It was derived from a DFT-relaxed cell (GGA-PBE, Alexandria), using a wavelength of 1.5418 Å.
Lines closer than 0.1° are merged.

Structure:
```
Mn2SiNi
1.0
2.6487 0.0000 0.0000
0.0000 3.3215 0.0000
0.0000 0.0000 5.1956
Mn Si Ni
2 1 1
Direct
0.0000 0.0000 0.0000
0.5000 0.5000 0.2310
0.5000 0.5000 0.7323
0.0000 0.0000 0.5054
```

Main lines, sorted by position (10° ≤ 2θ ≤ 90°):
Position (°2θ), Rel. int.
17.07, 8
26.84, 6
31.98, 6
43.71, 100
44.26, 94
49.12, 68
55.32, 24
71.20, 10
72.81, 9
77.09, 32
87.80, 23
88.95, 21

---

# 10
The following is a calculated X-ray powder pattern of Mg2Be2CuPt5. It was derived from a DFT-relaxed cell (GGA-PBE, Alexandria), using a wavelength of 1.5418 Å.
Lines closer than 0.1° are merged.

Structure:
```
Mg2Be2CuPt5
1.0
9.2999 0.0000 0.0000
0.0000 9.2999 0.0000
0.0000 0.0000 3.2756
Mg Be Cu Pt
4 4 2 10
Direct
0.1743 0.3257 0.0000
0.3257 0.8257 0.0000
0.6743 0.1743 0.0000
0.8257 0.6743 0.0000
0.1269 0.6269 0.0000
0.3731 0.1269 0.0000
0.6269 0.8731 0.0000
0.8731 0.3731 0.0000
0.0000 0.0000 0.0000
0.5000 0.5000 0.0000
0.0000 0.5000 0.5000
0.0718 0.7919 0.5000
0.2081 0.0718 0.5000
0.2919 0.5718 0.5000
0.4282 0.2919 0.5000
0.5000 0.0000 0.5000
0.5718 0.7081 0.5000
0.7081 0.4282 0.5000
0.7919 0.9282 0.5000
0.9282 0.2081 0.5000
```

Main lines, sorted by position (10° ≤ 2θ ≤ 90°):
Position (°2θ), Rel. int.
21.36, 30
27.22, 88
30.40, 41
34.82, 72
38.78, 31
39.97, 57
41.25, 100
43.52, 32
44.72, 48
49.04, 46
71.14, 21
78.34, 39

---

# 11
The following is a calculated X-ray powder pattern of La8TbTh3. It was derived from a DFT-relaxed cell (GGA-PBE, Alexandria), using a wavelength of 1.5418 Å.
Lines closer than 0.1° are merged.

Structure:
```
La8TbTh3
1.0
6.3882 0.0000 0.0000
-3.1941 5.5323 0.0000
0.0000 0.0000 11.9745
La Tb Th
8 1 3
Direct
0.0000 0.3322 0.2407
0.0000 0.6678 0.7593
0.3322 0.0000 0.2407
0.3322 0.3322 0.7593
0.3333 0.6667 0.5000
0.6667 0.3333 0.5000
0.6678 0.0000 0.7593
0.6678 0.6678 0.2407
0.0000 0.0000 0.5000
0.0000 0.0000 0.0000
0.3333 0.6667 0.0000
0.6667 0.3333 0.0000
```

Main lines, sorted by position (10° ≤ 2θ ≤ 90°):
Position (°2θ), Rel. int.
27.93, 14
28.93, 31
29.85, 31
31.75, 100
36.01, 18
41.34, 11
49.42, 24
54.19, 22
58.81, 28
59.95, 17
81.30, 14
83.11, 10

---

# 12
The following is a calculated X-ray powder pattern of Li4U3NiSe8. It was derived from a DFT-relaxed cell (GGA-PBE, Alexandria), using a wavelength of 1.5418 Å.
Lines closer than 0.1° are merged.

Structure:
```
Li4U3NiSe8
1.0
6.8082 -3.9271 0.0000
6.8082 3.9271 0.0000
-4.5395 0.0000 6.5545
Li U Ni Se
4 3 1 8
Direct
0.0000 0.0000 0.0000
0.0000 0.5000 0.0000
0.5000 0.0000 0.0000
0.5000 0.5000 0.0000
0.0000 0.0000 0.5000
0.0000 0.5000 0.5000
0.5000 0.0000 0.5000
0.5000 0.5000 0.5000
0.2554 0.2554 0.7663
0.2580 0.2580 0.2521
0.2592 0.7349 0.2531
0.2651 0.7408 0.7469
0.7349 0.2592 0.2531
0.7408 0.2651 0.7469
0.7420 0.7420 0.7479
0.7446 0.7446 0.2337
```

Main lines, sorted by position (10° ≤ 2θ ≤ 90°):
Position (°2θ), Rel. int.
13.51, 65
26.59, 43
31.99, 100
34.87, 22
41.70, 13
45.53, 37
46.21, 36
48.37, 17
57.31, 19
66.89, 12
75.56, 17
76.58, 17